Record 1
The following is a simulated X-ray diffraction stick pattern of Mg2Nb3Bi3O14. It was derived from a cell relaxed with PBE, using CuKα.
Neutral-atom scattering factors, no anomalous dispersion.

Main lines, in order of rising 2θ (15 to 90 degrees two-theta):
index, 2θ/deg, I_rel
0 0 3, 15.0, 14
0 1 2, 16.9, 25
2 0 2, 29.2, 100
0 0 6, 30.3, 30
0 2 4, 34.1, 43
2 2 0, 48.3, 33
2 0 8, 49.8, 29
0 4 2, 57.4, 16
2 2 6, 58.1, 28
0 2 10, 59.4, 14

Atomic structure:
```
data_Mg2Nb3Bi3O14
_symmetry_space_group_name_H-M 'R -3 m'
_symmetry_Int_Tables_number 166
_symmetry_space_group_name_Hall '-R 3 2"'
_cell_length_a 7.5372
_cell_length_b 7.5372
_cell_length_c 17.7097
_cell_angle_alpha 90.00
_cell_angle_beta 90.00
_cell_angle_gamma 120.00
loop_
_atom_site_label
_atom_site_type_symbol
_atom_site_fract_x
_atom_site_fract_y
_atom_site_fract_z
Mg1 Mg 0.0000 0.0000 0.0000
Mg2 Mg 0.0000 0.0000 0.5000
Nb1 Nb 0.0000 0.5000 0.0000
Bi1 Bi 0.0000 0.5000 0.5000
O1 O 0.0000 0.0000 0.1114
O2 O 0.0466 0.5233 0.1105
O3 O 0.0710 0.5355 0.3544
```

---

Record 2
The following is a simulated X-ray diffraction stick pattern of Mg2Nb2BiO8. It was derived from a cell relaxed with PBE, using CuKα.
Neutral-atom scattering factors, no anomalous dispersion.

Main lines, in order of rising 2θ (15 to 90 degrees two-theta):
index, 2θ/deg, I_rel
3 1 0, 19.6, 33
3 1 -1, 25.4, 100
3 1 1, 26.1, 84
5 1 -1, 30.7, 58
5 1 1, 31.6, 69
0 0 2, 33.4, 36
0 2 1, 34.0, 34
8 0 0, 34.9, 28
0 2 2, 45.2, 24
8 0 2, 50.1, 36

Atomic structure:
```
data_Mg2Nb2BiO8
_symmetry_space_group_name_H-M 'C 1 2/c 1'
_symmetry_Int_Tables_number 15
_symmetry_space_group_name_Hall '-C 2yc'
_cell_length_a 20.541
_cell_length_b 6.047
_cell_length_c 5.373
_cell_angle_alpha 90.00
_cell_angle_beta 92.28
_cell_angle_gamma 90.00
loop_
_atom_site_label
_atom_site_type_symbol
_atom_site_fract_x
_atom_site_fract_y
_atom_site_fract_z
Mg1 Mg 0.227 0.151 0.237
Nb1 Nb 0.125 0.330 0.731
Bi1 Bi 0.000 0.199 0.250
O1 O 0.063 0.110 0.615
O2 O 0.077 0.411 0.035
O3 O 0.187 0.390 0.441
O4 O 0.197 0.145 0.872
```

---

Record 3
The following is a simulated X-ray diffraction stick pattern of Nd2MgBi2O8. It was derived from a cell relaxed with PBE, using CuKα.
Neutral-atom scattering factors, no anomalous dispersion.

Main lines, in order of rising 2θ (15 to 90 degrees two-theta):
index, 2θ/deg, I_rel
1 -1 1, 25.0, 100
1 1 0, 28.4, 72
0 2 -1, 31.2, 27
2 0 -1, 32.3, 25
1 1 1, 38.5, 18
0 1 2, 40.3, 16
2 -2 0, 41.0, 25
0 2 -3, 43.4, 18
2 0 1, 44.2, 21
1 -3 2, 49.9, 17

Atomic structure:
```
data_Nd2MgBi2O8
_symmetry_space_group_name_H-M 'P 1'
_symmetry_Int_Tables_number 1
_symmetry_space_group_name_Hall 'P 1'
_cell_length_a 5.640
_cell_length_b 5.824
_cell_length_c 7.102
_cell_angle_alpha 109.79
_cell_angle_beta 108.87
_cell_angle_gamma 100.34
loop_
_atom_site_label
_atom_site_type_symbol
_atom_site_fract_x
_atom_site_fract_y
_atom_site_fract_z
Nd1 Nd 0.000 0.000 0.000
Nd2 Nd 0.256 0.755 0.511
Mg1 Mg 0.307 0.307 0.615
Bi1 Bi 0.542 0.542 0.083
Bi2 Bi 0.707 0.207 0.414
O1 O 0.044 0.524 0.654
O2 O 0.239 0.158 0.829
O3 O 0.348 0.862 0.194
O4 O 0.395 0.385 0.357
O5 O 0.588 0.672 0.828
O6 O 0.610 0.130 0.654
O7 O 0.846 0.333 0.194
O8 O 0.964 0.973 0.357
```